No. 1
Diffraction record for Li2MnVP2H2O10. The XRD peak list is simulated, not measured: it uses a crystal structure in the Materials Project, relaxed with PBE+U and Cu Kα (weighted mean of Kα1 and Kα2).
Peak positions follow from Bragg's law for the DFT cell and can differ from measured ones.

The 10 most intense peaks (5 to 70 degrees two-theta), by intensity:
(0 1 -2), 26.46°, I = 100; (1 1 0), 29.20°, I = 83; (1 0 0), 18.71°, I = 77; (1 0 -2), 27.05°, I = 70; (1 -2 0), 35.39°, I = 65; (1 -1 1), 25.89°, I = 37; (1 -1 0), 21.85°, I = 33; (-2 2 2), 52.89°, I = 31; (0 1 0), 17.61°, I = 31; (0 1 1), 26.05°, I = 30

Cell and atoms:
```
Li2MnVP2H2O10
1.0
5.1621 0.0000 0.0000
-0.9210 5.4262 0.0000
-2.0955 -2.6114 6.5252
Li Mn V P H O
2 1 1 2 2 10
direct
0.2434 0.3882 0.3253
0.7566 0.6118 0.6747
0.5000 0.0000 0.0000
0.5000 0.0000 0.5000
0.1723 0.3671 0.7340
0.8277 0.6329 0.2660
0.1422 0.9254 0.1547
0.8578 0.0746 0.8453
0.1329 0.7414 0.4276
0.1953 0.6666 0.8372
0.2104 0.2224 0.8839
0.3410 0.0413 0.2199
0.3817 0.3379 0.6157
0.6183 0.6621 0.3843
0.6590 0.9587 0.7801
0.7896 0.7776 0.1161
0.8047 0.3334 0.1628
0.8671 0.2586 0.5724
```



No. 2
Diffraction record for Li2MnVP2H2O10. The XRD peak list is simulated, not measured: it uses a crystal structure in the Materials Project, relaxed with PBE+U and Cu Kα (weighted mean of Kα1 and Kα2).
Peak positions follow from Bragg's law for the DFT cell and can differ from measured ones.

The 10 most intense peaks (5 to 70 degrees two-theta), by intensity:
(-1 2 1), 26.97°, I = 100; (2 0 0), 28.95°, I = 90; (1 -2 1), 26.77°, I = 75; (1 0 1), 18.75°, I = 44; (1 0 -3), 35.40°, I = 42; (1 0 -1), 17.43°, I = 36; (1 -1 1), 18.58°, I = 35; (0 1 -2), 25.41°, I = 33; (1 1 -1), 25.65°, I = 30; (0 0 2), 22.04°, I = 30

Cell and atoms:
```
Li2MnVP2H2O10
1.0
6.9296 0.0000 0.0000
-3.2935 6.5222 0.0000
-0.4796 -0.3883 8.0677
Li Mn V P H O
4 2 2 4 4 20
direct
0.0712 0.3265 0.1747
0.4255 0.6771 0.3231
0.5745 0.3229 0.6769
0.9288 0.6735 0.8253
0.0000 0.5000 0.5000
0.5000 0.0000 0.0000
0.0000 0.0000 0.5000
0.5000 0.5000 0.0000
0.0171 0.7334 0.1561
0.4814 0.2688 0.3447
0.5186 0.7312 0.6553
0.9829 0.2666 0.8439
0.2121 0.8326 0.6486
0.2901 0.1549 0.8535
0.7099 0.8451 0.1465
0.7879 0.1674 0.3514
0.0393 0.1205 0.7378
0.0569 0.7685 0.6041
0.1166 0.6203 0.2639
0.1627 0.8445 0.0157
0.1959 0.4300 0.9380
0.3150 0.5690 0.5520
0.3194 0.1581 0.4776
0.3887 0.3818 0.2256
0.4450 0.2199 0.8968
0.4616 0.8809 0.7517
0.5384 0.1191 0.2483
0.5550 0.7801 0.1032
0.6113 0.6182 0.7744
0.6806 0.8419 0.5224
0.6850 0.4310 0.4480
0.8041 0.5700 0.0620
0.8373 0.1555 0.9843
0.8834 0.3797 0.7361
0.9431 0.2315 0.3959
0.9607 0.8795 0.2622
```



No. 3
Diffraction record for Li2MnVP2H2O10. The XRD peak list is simulated, not measured: it uses a crystal structure in the Materials Project, relaxed with PBE+U and Cu Kα (weighted mean of Kα1 and Kα2).
Peak positions follow from Bragg's law for the DFT cell and can differ from measured ones.

The 10 most intense peaks (5 to 70 degrees two-theta), by intensity:
(0 1 -4), 26.52°, I = 100; (1 1 -2), 26.95°, I = 95; (-1 2 2), 29.10°, I = 82; (0 1 2), 18.74°, I = 46; (2 -1 2), 35.39°, I = 43; (0 0 3), 18.41°, I = 34; (1 -1 3), 25.22°, I = 34; (1 -1 0), 17.51°, I = 31; (1 0 2), 21.95°, I = 29; (1 -2 1), 25.70°, I = 27

Cell and atoms:
```
Li2MnVP2H2O10
1.0
5.4610 0.0000 0.0000
-2.6582 6.9540 0.0000
-0.3148 -1.6437 14.4601
Li Mn V P H O
6 3 3 6 6 30
direct
0.0000 0.0000 0.0000
0.1341 0.9300 0.2821
0.3305 0.3292 0.3346
0.4665 0.2633 0.6169
0.6606 0.6618 0.6689
0.8030 0.5935 0.9492
0.0671 0.4645 0.6415
0.7321 0.1302 0.3085
0.7345 0.1319 0.8099
0.0613 0.4604 0.1410
0.3989 0.7966 0.4753
0.3995 0.7956 0.9744
0.0500 0.0815 0.4931
0.0823 0.8441 0.7893
0.3876 0.4157 0.8277
0.4125 0.1765 0.1237
0.7102 0.7483 0.1596
0.7483 0.5122 0.4570
0.0140 0.4736 0.3162
0.1141 0.4491 0.9669
0.3454 0.8068 0.6497
0.4518 0.7863 0.3018
0.6836 0.1436 0.9831
0.7872 0.1219 0.6339
0.0140 0.3630 0.2719
0.0239 0.6251 0.4235
0.0439 0.0849 0.3872
0.1038 0.8389 0.8965
0.1185 0.5586 0.0129
0.1195 0.3039 0.8642
0.1511 0.2921 0.5422
0.2027 0.2582 0.0911
0.2579 0.9985 0.5261
0.3128 0.9674 0.0737
0.3475 0.6965 0.6053
0.3483 0.9576 0.7525
0.3769 0.4198 0.7221
0.4191 0.1719 0.2294
0.4380 0.6343 0.1937
0.4499 0.8970 0.3454
0.4897 0.6269 0.8763
0.5400 0.5950 0.4238
0.6036 0.3373 0.8598
0.6470 0.3014 0.4078
0.6847 0.0344 0.9381
0.6867 0.2910 0.0902
0.6954 0.7523 0.0525
0.7545 0.5093 0.5627
0.7744 0.9679 0.5263
0.7870 0.2319 0.6786
0.8152 0.9590 0.2080
0.8639 0.9231 0.7625
0.9214 0.6660 0.1891
0.9765 0.6327 0.7410
```



Question: What is the formula in the first record?
Answer: Li2MnVP2H2O10



Question: What is the formula in the third record?
Answer: Li2MnVP2H2O10